Mg15B: simulated XRD peak list (a wavelength of 1.5418 Å), based on a crystal structure in Alexandria, relaxed with PBE.

The 10 most intense peaks (2θ from 5° to 70°), in order of rising 2θ:
2θ 26.89, I 2; 2θ 31.57, I 2; 2θ 32.81, I 25; 2θ 36.12, I 23; 2θ 37.58, I 100; 2θ 49.58, I 14; 2θ 57.30, I 2; 2θ 58.57, I 17; 2θ 65.91, I 15; 2θ 68.78, I 3

Crystal structure
```
Mg15B
1.0
6.304 0.000 0.000
-3.152 5.460 0.000
0.000 0.000 9.948
Mg B
15 1
Cartesian
0.000 0.000 0.000
-1.550 2.745 0.000
0.000 1.752 2.675
0.000 1.752 7.274
-1.635 4.584 2.675
-1.635 4.584 7.274
1.550 2.745 0.000
0.000 5.429 0.000
3.152 0.052 4.974
1.621 2.704 4.974
3.152 1.820 2.468
3.152 1.820 7.480
1.635 4.584 2.675
1.635 4.584 7.274
4.684 2.704 4.974
0.000 0.000 4.974
```

***

Pr2Ho7Er2: simulated XRD peak list (a wavelength of 1.5418 Å), based on a crystal structure in Alexandria, relaxed with PBE.

The 10 most intense peaks (2θ from 5° to 70°), in order of rising 2θ:
2θ 25.62, I 23; 2θ 30.91, I 28; 2θ 31.27, I 49; 2θ 31.85, I 28; 2θ 32.07, I 100; 2θ 33.86, I 38; 2θ 34.00, I 29; 2θ 45.24, I 17; 2θ 50.20, I 15; 2θ 56.16, I 15

Crystal structure
```
Pr2Ho7Er2
1.0
5.635 -5.721 0.000
5.635 5.721 0.000
-2.406 0.000 5.541
Pr Ho Er
2 7 2
Cartesian
2.379 0.000 0.512
6.485 0.000 5.029
-1.203 0.000 2.770
2.892 3.028 1.807
5.972 3.028 3.734
2.967 0.000 3.872
5.897 0.000 1.669
2.892 -3.028 1.807
5.972 -3.028 3.734
5.635 3.214 0.000
5.635 -3.214 0.000
```

***

Hf3Ge2: simulated XRD peak list (a wavelength of 1.5418 Å), based on a crystal structure in Alexandria, relaxed with PBE.

The 10 most intense peaks (2θ from 5° to 70°), in order of rising 2θ:
2θ 27.86, I 17; 2θ 29.90, I 23; 2θ 34.86, I 54; 2θ 35.45, I 16; 2θ 37.12, I 100; 2θ 39.80, I 54; 2θ 49.22, I 19; 2θ 58.71, I 17; 2θ 60.25, I 17; 2θ 65.08, I 26

Crystal structure
```
Hf3Ge2
1.0
7.162 0.000 0.000
0.000 7.162 0.000
0.000 0.000 3.702
Hf Ge
6 4
Cartesian
0.000 0.000 0.000
1.218 2.362 1.851
2.362 5.943 1.851
3.581 3.581 0.000
4.799 1.218 1.851
5.943 4.799 1.851
0.938 4.519 0.000
2.643 0.938 0.000
4.519 6.224 0.000
6.224 2.643 0.000
```

***

Ta2Ge2Au: simulated XRD peak list (a wavelength of 1.5418 Å), based on a crystal structure in Alexandria, relaxed with PBE.

The 10 most intense peaks (2θ from 5° to 70°), in order of rising 2θ:
2θ 26.01, I 38; 2θ 27.37, I 18; 2θ 34.82, I 12; 2θ 35.98, I 20; 2θ 38.11, I 100; 2θ 39.09, I 72; 2θ 47.55, I 37; 2θ 52.57, I 13; 2θ 53.49, I 16; 2θ 68.21, I 28

Crystal structure
```
Ta2Ge2Au
1.0
7.288 0.000 0.000
0.000 7.288 0.000
0.000 0.000 3.426
Ta Ge Au
4 4 2
Cartesian
0.978 2.665 0.000
2.665 6.309 0.000
4.622 0.978 0.000
6.309 4.622 0.000
1.178 4.821 1.713
2.466 1.178 1.713
4.821 6.110 1.713
6.110 2.466 1.713
0.000 0.000 0.000
3.644 3.644 0.000
```